Starting from the GGA-PBE geometry in Alexandria, the powder diffractogram of K5Ag3As3 was calculated for λ = 1.5418 Å (Cu Kα).
No peak broadening, texture or thermal motion is included.

Structure:
```
data_K5Ag3As3
_chemical_formula_sum 'K5 Ag3 As3'
_cell_length_a 10.2998
_cell_length_b 10.2998
_cell_length_c 4.7901
_cell_angle_alpha 90.00
_cell_angle_beta 90.00
_cell_angle_gamma 120.00
_space_group_name_H-M_alt 'P -6 2 m'
_space_group_IT_number 189
_space_group_name_Hall 'P -6 -2'
loop_
_atom_site_label
_atom_site_type_symbol
_atom_site_fract_x
_atom_site_fract_y
_atom_site_fract_z
K1 K 0.0000 0.2614 0.0000
K2 K 0.3333 0.6667 0.0000
Ag1 Ag 0.0000 0.6793 0.5000
As1 As 0.0000 0.6226 0.0000
```

Most intense lines, 10° ≤ 2θ ≤ 90°, sorted by position:
hkl 1 1 0, 2θ 17.2, I 1000
hkl 1 1 1, 2θ 25.4, I 181
hkl 3 0 0, 2θ 30.1, I 535
hkl 2 1 1, 2θ 32.5, I 174
hkl 2 2 0, 2θ 34.8, I 175
hkl 0 0 2, 2θ 37.6, I 134
hkl 3 1 1, 2θ 41.1, I 82
hkl 1 1 2, 2θ 41.6, I 215
hkl 4 1 0, 2θ 46.7, I 110
hkl 3 0 2, 2θ 48.8, I 261
hkl 2 2 2, 2θ 52.2, I 107
hkl 4 1 2, 2θ 61.4, I 94